Structure and calculated X-ray diffraction stick pattern of Cs3YS3 (a DFT-relaxed cell (PBE, Alexandria); Cu Ka).
Lines closer than 0.1° are merged.

Cell and atoms:
Cell lengths 8.752, 8.752, 8.570 Å; angles 96.27, 96.27, 114.11 degrees
Positions (direct):
1 Cs 0.185 0.815 0.000
2 Cs 0.254 0.746 0.500
3 Cs 0.376 0.376 0.140
4 Cs 0.624 0.624 0.860
5 Cs 0.746 0.254 0.500
6 Cs 0.815 0.185 0.000
7 Y 0.174 0.174 0.643
8 Y 0.826 0.826 0.357
9 S 0.096 0.096 0.326
10 S 0.162 0.447 0.771
11 S 0.447 0.162 0.771
12 S 0.553 0.838 0.229
13 S 0.838 0.553 0.229
14 S 0.904 0.904 0.674

The 10 most intense peaks (10° ≤ 2θ ≤ 80°), by angle:
| Position (°2θ) | I/Imax |
| --- | --- |
| 22.2 | 74 |
| 22.6 | 72 |
| 24.0 | 100 |
| 24.2 | 49 |
| 24.4 | 71 |
| 28.3 | 65 |
| 29.2 | 61 |
| 31.0 | 60 |
| 40.6 | 45 |
| 42.2 | 45 |



Structure and calculated X-ray diffraction stick pattern of Ti6Zn2Sn (a DFT-relaxed cell (PBE, Alexandria); Cu Ka).
Lines closer than 0.1° are merged.

Cell and atoms:
Cell lengths 7.464, 7.464, 7.464 Å; angles 114.39, 113.53, 100.82 degrees
Positions (direct):
1 Ti 0.036 0.816 0.220
2 Ti 0.251 0.544 0.293
3 Ti 0.251 0.959 0.707
4 Ti 0.295 0.289 0.584
5 Ti 0.295 0.711 0.006
6 Ti 0.404 0.184 0.220
7 Ti 0.596 0.816 0.780
8 Ti 0.705 0.289 0.994
9 Ti 0.705 0.711 0.416
10 Ti 0.749 0.041 0.293
11 Ti 0.749 0.456 0.707
12 Ti 0.964 0.184 0.780
13 Zn 0.000 0.151 0.151
14 Zn 0.000 0.849 0.849
15 Zn 0.374 0.374 0.000
16 Zn 0.626 0.626 0.000
17 Sn 0.000 0.500 0.500
18 Sn 0.500 0.000 0.500

The 10 most intense peaks (10° ≤ 2θ ≤ 80°), by angle:
| Position (°2θ) | I/Imax |
| --- | --- |
| 18.7 | 22 |
| 21.7 | 35 |
| 36.5 | 100 |
| 37.6 | 36 |
| 37.8 | 22 |
| 40.0 | 67 |
| 41.1 | 40 |
| 41.2 | 32 |
| 44.3 | 33 |
| 70.1 | 20 |



Structure and calculated X-ray diffraction stick pattern of SrAl2P (a DFT-relaxed cell (PBE, Alexandria); Cu Ka).
Lines closer than 0.1° are merged.

Cell and atoms:
Cell lengths 4.717, 4.717, 5.909 Å; angles 105.08, 105.08, 47.33 degrees
Positions (direct):
1 Sr 0.000 0.000 0.000
2 Al 0.221 0.221 0.628
3 Al 0.486 0.486 0.494
4 P 0.749 0.749 0.345

The 10 most intense peaks (10° ≤ 2θ ≤ 80°), by angle:
| Position (°2θ) | I/Imax |
| --- | --- |
| 22.7 | 39 |
| 25.9 | 30 |
| 28.7 | 24 |
| 30.1 | 26 |
| 31.6 | 22 |
| 32.0 | 100 |
| 32.8 | 35 |
| 38.7 | 32 |
| 39.9 | 61 |
| 43.7 | 24 |



Structure and calculated X-ray diffraction stick pattern of Na2CeIrO4 (a DFT-relaxed cell (PBE, Alexandria); Cu Ka).
Lines closer than 0.1° are merged.

Cell and atoms:
Cell lengths 5.282, 5.282, 5.282 Å; angles 112.59, 112.59, 103.40 degrees
Positions (direct):
1 Na 0.000 0.000 0.000
2 Na 0.750 0.250 0.500
3 Ce 0.500 0.500 0.000
4 Ir 0.250 0.750 0.500
5 O 0.083 0.472 0.033
6 O 0.439 0.050 0.967
7 O 0.528 0.561 0.612
8 O 0.950 0.917 0.388

The 10 most intense peaks (10° ≤ 2θ ≤ 80°), by angle:
| Position (°2θ) | I/Imax |
| --- | --- |
| 20.3 | 100 |
| 30.5 | 46 |
| 34.9 | 83 |
| 36.9 | 41 |
| 43.7 | 27 |
| 44.3 | 13 |
| 54.7 | 14 |
| 57.1 | 45 |
| 58.5 | 13 |
| 65.3 | 11 |



Structure and calculated X-ray diffraction stick pattern of Cs3KCa2Cl9 (a DFT-relaxed cell (PBE, Alexandria); Cu Ka).
Lines closer than 0.1° are merged.

Cell and atoms:
Cell lengths 7.837, 7.837, 10.089 Å; angles 90.00, 90.00, 120.00 degrees
Positions (direct):
1 Cs 0.000 0.000 0.000
2 Cs 0.333 0.667 0.678
3 Cs 0.667 0.333 0.322
4 K 0.000 0.000 0.500
5 Ca 0.333 0.667 0.154
6 Ca 0.667 0.333 0.846
7 Cl 0.000 0.500 0.000
8 Cl 0.174 0.347 0.313
9 Cl 0.174 0.826 0.313
10 Cl 0.347 0.174 0.687
11 Cl 0.500 0.000 0.000
12 Cl 0.500 0.500 0.000
13 Cl 0.653 0.826 0.313
14 Cl 0.826 0.174 0.687
15 Cl 0.826 0.653 0.687

The 10 most intense peaks (10° ≤ 2θ ≤ 80°), by angle:
| Position (°2θ) | I/Imax |
| --- | --- |
| 22.0 | 61 |
| 22.7 | 56 |
| 26.5 | 26 |
| 27.7 | 73 |
| 31.8 | 100 |
| 39.4 | 26 |
| 44.8 | 33 |
| 46.3 | 32 |
| 54.2 | 18 |
| 57.3 | 16 |



Structure and calculated X-ray diffraction stick pattern of Dy19Y4Ho6 (a DFT-relaxed cell (PBE, Alexandria); Cu Ka).
Lines closer than 0.1° are merged.

Cell and atoms:
Cell lengths 10.780, 10.780, 10.780 Å; angles 109.47, 109.47, 109.47 degrees
Positions (direct):
1 Dy 0.000 0.000 0.000
2 Dy 0.000 0.262 0.262
3 Dy 0.000 0.738 0.738
4 Dy 0.015 0.214 0.675
5 Dy 0.199 0.985 0.660
6 Dy 0.214 0.675 0.015
7 Dy 0.262 0.000 0.262
8 Dy 0.262 0.262 0.000
9 Dy 0.325 0.539 0.340
10 Dy 0.340 0.325 0.539
11 Dy 0.461 0.786 0.801
12 Dy 0.539 0.340 0.325
13 Dy 0.660 0.199 0.985
14 Dy 0.675 0.015 0.214
15 Dy 0.738 0.000 0.738
16 Dy 0.738 0.738 0.000
17 Dy 0.786 0.801 0.461
18 Dy 0.801 0.461 0.786
19 Dy 0.985 0.660 0.199
20 Y 0.000 0.000 0.357
21 Y 0.000 0.357 0.000
22 Y 0.357 0.000 0.000
23 Y 0.643 0.643 0.643
24 Ho 0.127 0.500 0.627
25 Ho 0.373 0.873 0.500
26 Ho 0.500 0.373 0.873
27 Ho 0.500 0.627 0.127
28 Ho 0.627 0.127 0.500
29 Ho 0.873 0.500 0.373

The 10 most intense peaks (10° ≤ 2θ ≤ 80°), by angle:
| Position (°2θ) | I/Imax |
| --- | --- |
| 26.8 | 76 |
| 28.7 | 85 |
| 30.5 | 100 |
| 35.3 | 56 |
| 36.8 | 95 |
| 42.3 | 25 |
| 47.3 | 27 |
| 54.1 | 28 |
| 60.4 | 38 |
| 61.4 | 25 |